No. 1
Tm3Mg3InGaHg: calculated powder XRD pattern (copper Kα), based on a cell relaxed with PBE.
Intensities are scaled so that the largest is 100.

Top 10 peaks for 10° ≤ 2θ ≤ 90°, low angle first:
- 2θ 19.91, I 26
- 2θ 24.06, I 22
- 2θ 27.85, I 36
- 2θ 31.42, I 38
- 2θ 34.47, I 100
- 2θ 40.45, I 22
- 2θ 42.32, I 17
- 2θ 42.48, I 22
- 2θ 55.68, I 18
- 2θ 67.05, I 18

Atomic structure:
```
data_Tm3Mg3InGaHg
_chemical_formula_sum 'Tm3 Mg3 In1 Ga1 Hg1'
_space_group_name_H-M_alt 'P 1'
_space_group_IT_number 1
_space_group_name_Hall 'P 1'
_cell_length_a 7.3975
_cell_length_b 7.3975
_cell_length_c 4.4600
_cell_angle_alpha 90.00
_cell_angle_beta 90.00
_cell_angle_gamma 120.00
loop_
_atom_site_label
_atom_site_fract_x
_atom_site_fract_y
_atom_site_fract_z
_atom_site_occupancy
Tm1 0.0128 0.5814 0.0000 1
Tm2 0.4186 0.4314 0.0000 1
Tm3 0.5686 0.9872 0.0000 1
Mg1 0.0070 0.2483 0.5000 1
Mg2 0.2412 0.9930 0.5000 1
Mg3 0.7517 0.7588 0.5000 1
In1 0.6667 0.3333 0.5000 1
Ga1 0.3333 0.6667 0.5000 1
Hg1 0.0000 0.0000 0.0000 1
```



No. 2
Li2ZnCdBi2: calculated powder XRD pattern (copper Kα), based on a cell relaxed with PBE.
Intensities are scaled so that the largest is 100.

Top 10 peaks for 10° ≤ 2θ ≤ 90°, low angle first:
- 2θ 23.16, I 100
- 2θ 26.86, I 10
- 2θ 38.22, I 52
- 2θ 38.36, I 26
- 2θ 45.04, I 17
- 2θ 45.28, I 35
- 2θ 55.37, I 9
- 2θ 60.61, I 14
- 2θ 68.99, I 9
- 2θ 69.27, I 18

Atomic structure:
```
data_Li2ZnCdBi2
_chemical_formula_sum 'Li8 Zn4 Cd4 Bi8'
_space_group_name_H-M_alt 'P 1'
_space_group_IT_number 1
_space_group_name_Hall 'P 1'
_cell_length_a 8.1680
_cell_length_b 4.6939
_cell_length_c 15.5847
_cell_angle_alpha 90.00
_cell_angle_beta 99.67
_cell_angle_gamma 90.00
loop_
_atom_site_label
_atom_site_fract_x
_atom_site_fract_y
_atom_site_fract_z
_atom_site_occupancy
Li1 0.0000 0.0000 0.0000 1
Li2 0.0064 0.5000 0.4952 1
Li3 0.2412 0.0000 0.7422 1
Li4 0.2480 0.5000 0.2449 1
Li5 0.4875 0.0000 0.4881 1
Li6 0.4998 0.5000 0.9984 1
Li7 0.7469 0.0000 0.2413 1
Li8 0.7569 0.5000 0.7441 1
Zn1 0.0622 0.5000 0.6791 1
Zn2 0.0637 0.0000 0.1851 1
Zn3 0.3075 0.5000 0.4284 1
Zn4 0.5594 0.5000 0.1833 1
Cd1 0.3088 0.0000 0.9340 1
Cd2 0.5583 0.0000 0.6776 1
Cd3 0.8117 0.0000 0.4302 1
Cd4 0.8149 0.5000 0.9354 1
Bi1 0.1218 0.5000 0.8615 1
Bi2 0.1326 0.0000 0.3666 1
Bi3 0.3594 0.5000 0.6113 1
Bi4 0.3746 0.0000 0.1260 1
Bi5 0.6102 0.5000 0.3655 1
Bi6 0.6225 0.0000 0.8691 1
Bi7 0.8777 0.5000 0.1286 1
Bi8 0.8858 0.0000 0.6219 1
```



No. 3
HfZr2Ni2As4Pd2: calculated powder XRD pattern (copper Kα), based on a cell relaxed with PBE.
Intensities are scaled so that the largest is 100.

Top 10 peaks for 10° ≤ 2θ ≤ 90°, low angle first:
- 2θ 11.71, I 23
- 2θ 17.98, I 25
- 2θ 35.93, I 100
- 2θ 37.96, I 73
- 2θ 38.32, I 25
- 2θ 42.79, I 35
- 2θ 43.37, I 18
- 2θ 45.10, I 32
- 2θ 46.73, I 35
- 2θ 48.35, I 25

Atomic structure:
```
data_HfZr2Ni2As4Pd2
_chemical_formula_sum 'Hf1 Zr2 Ni2 As4 Pd2'
_space_group_name_H-M_alt 'P 1'
_space_group_IT_number 1
_space_group_name_Hall 'P 1'
_cell_length_a 6.5141
_cell_length_b 3.8881
_cell_length_c 7.5542
_cell_angle_alpha 90.00
_cell_angle_beta 90.04
_cell_angle_gamma 90.00
loop_
_atom_site_label
_atom_site_fract_x
_atom_site_fract_y
_atom_site_fract_z
_atom_site_occupancy
Hf1 0.0000 0.0000 0.0000 1
Zr1 0.4312 0.5000 0.5100 1
Zr2 0.5033 0.0000 0.1396 1
Ni1 0.1157 0.0000 0.3783 1
Ni2 0.3217 0.5000 0.8850 1
As1 0.1887 0.0000 0.6927 1
As2 0.2133 0.5000 0.1951 1
As3 0.7204 0.5000 0.9387 1
As4 0.7368 0.0000 0.4573 1
Pd1 0.5856 0.0000 0.7632 1
Pd2 0.8290 0.5000 0.2685 1
```



No. 4
BaDyCuSi3: calculated powder XRD pattern (copper Kα), based on a cell relaxed with PBE.
Intensities are scaled so that the largest is 100.

Top 10 peaks for 10° ≤ 2θ ≤ 90°, low angle first:
- 2θ 24.98, I 31
- 2θ 25.17, I 15
- 2θ 32.02, I 100
- 2θ 32.17, I 50
- 2θ 40.02, I 20
- 2θ 43.88, I 15
- 2θ 44.23, I 29
- 2θ 55.44, I 21
- 2θ 61.16, I 22
- 2θ 67.72, I 17

Atomic structure:
```
data_BaDyCuSi3
_chemical_formula_sum 'Ba2 Dy2 Cu2 Si6'
_space_group_name_H-M_alt 'P 1'
_space_group_IT_number 1
_space_group_name_Hall 'P 1'
_cell_length_a 8.3885
_cell_length_b 8.1906
_cell_length_c 6.1100
_cell_angle_alpha 70.11
_cell_angle_beta 66.66
_cell_angle_gamma 43.23
loop_
_atom_site_label
_atom_site_fract_x
_atom_site_fract_y
_atom_site_fract_z
_atom_site_occupancy
Ba1 0.2473 0.7527 0.2473 1
Ba2 0.7527 0.2473 0.7527 1
Dy1 0.2500 0.2500 0.2500 1
Dy2 0.7500 0.7500 0.7500 1
Cu1 0.3307 0.3307 0.6693 1
Cu2 0.6693 0.6693 0.3307 1
Si1 0.1620 0.6577 0.8380 1
Si2 0.1724 0.1724 0.8276 1
Si3 0.3423 0.8380 0.6577 1
Si4 0.6577 0.1620 0.3423 1
Si5 0.8276 0.8276 0.1724 1
Si6 0.8380 0.3423 0.1620 1
```



No. 5
HfNbSnB: calculated powder XRD pattern (copper Kα), based on a cell relaxed with PBE.
Intensities are scaled so that the largest is 100.

Top 10 peaks for 10° ≤ 2θ ≤ 90°, low angle first:
- 2θ 30.71, I 24
- 2θ 33.19, I 6
- 2θ 36.08, I 100
- 2θ 37.48, I 19
- 2θ 49.20, I 14
- 2θ 54.60, I 22
- 2θ 66.71, I 15
- 2θ 67.20, I 16
- 2θ 68.10, I 20
- 2θ 76.54, I 4

Atomic structure:
```
data_HfNbSnB
_chemical_formula_sum 'Hf2 Nb2 Sn2 B2'
_space_group_name_H-M_alt 'P 1'
_space_group_IT_number 1
_space_group_name_Hall 'P 1'
_cell_length_a 3.3620
_cell_length_b 3.3620
_cell_length_c 14.3978
_cell_angle_alpha 90.00
_cell_angle_beta 90.00
_cell_angle_gamma 120.00
loop_
_atom_site_label
_atom_site_fract_x
_atom_site_fract_y
_atom_site_fract_z
_atom_site_occupancy
Hf1 0.3333 0.6667 0.0887 1
Hf2 0.6667 0.3333 0.9113 1
Nb1 0.3333 0.6667 0.4164 1
Nb2 0.6667 0.3333 0.5836 1
Sn1 0.3333 0.6667 0.7426 1
Sn2 0.6667 0.3333 0.2574 1
B1 0.0000 0.0000 0.0000 1
B2 0.0000 0.0000 0.5000 1
```



No. 6
Sc2In4CuPd: calculated powder XRD pattern (copper Kα), based on a cell relaxed with PBE.
Intensities are scaled so that the largest is 100.

Top 10 peaks for 10° ≤ 2θ ≤ 90°, low angle first:
- 2θ 21.06, I 24
- 2θ 21.92, I 28
- 2θ 32.83, I 23
- 2θ 33.35, I 100
- 2θ 34.39, I 25
- 2θ 35.19, I 39
- 2θ 41.02, I 47
- 2θ 41.58, I 87
- 2θ 42.87, I 28
- 2θ 43.95, I 43

Atomic structure:
```
data_Sc2In4CuPd
_chemical_formula_sum 'Sc2 In4 Cu1 Pd1'
_space_group_name_H-M_alt 'P 1'
_space_group_IT_number 1
_space_group_name_Hall 'P 1'
_cell_length_a 7.1756
_cell_length_b 5.6611
_cell_length_c 5.6611
_cell_angle_alpha 45.74
_cell_angle_beta 90.00
_cell_angle_gamma 90.00
loop_
_atom_site_label
_atom_site_fract_x
_atom_site_fract_y
_atom_site_fract_z
_atom_site_occupancy
Sc1 0.0000 0.0000 0.0000 1
Sc2 0.5000 0.1475 0.1475 1
In1 0.2108 0.7093 0.7093 1
In2 0.2969 0.4378 0.4378 1
In3 0.7031 0.4378 0.4378 1
In4 0.7892 0.7093 0.7093 1
Cu1 0.5000 0.8715 0.8715 1
Pd1 0.0000 0.2756 0.2756 1
```



No. 7
KNaAgAs: calculated powder XRD pattern (copper Kα), based on a cell relaxed with PBE.
Intensities are scaled so that the largest is 100.

Top 10 peaks for 10° ≤ 2θ ≤ 90°, low angle first:
- 2θ 14.73, I 100
- 2θ 18.67, I 97
- 2θ 21.19, I 36
- 2θ 30.47, I 53
- 2θ 34.08, I 75
- 2θ 34.19, I 61
- 2θ 35.97, I 55
- 2θ 38.53, I 55
- 2θ 43.14, I 61
- 2θ 55.12, I 30

Atomic structure:
```
data_KNaAgAs
_chemical_formula_sum 'K2 Na2 Ag2 As2'
_space_group_name_H-M_alt 'P 1'
_space_group_IT_number 1
_space_group_name_Hall 'P 1'
_cell_length_a 5.8514
_cell_length_b 6.1371
_cell_length_c 6.1371
_cell_angle_alpha 101.50
_cell_angle_beta 90.00
_cell_angle_gamma 90.00
loop_
_atom_site_label
_atom_site_fract_x
_atom_site_fract_y
_atom_site_fract_z
_atom_site_occupancy
K1 0.0000 0.1747 0.8253 1
K2 0.0000 0.8253 0.1747 1
Na1 0.5000 0.1195 0.4667 1
Na2 0.5000 0.4667 0.1195 1
Ag1 0.2515 0.6354 0.6354 1
Ag2 0.7485 0.6354 0.6354 1
As1 0.0000 0.3653 0.3653 1
As2 0.5000 0.9071 0.9071 1
```



No. 8
CuC32N8F16: calculated powder XRD pattern (copper Kα), based on a cell relaxed with PBE.
Intensities are scaled so that the largest is 100.

Top 10 peaks for 10° ≤ 2θ ≤ 90°, low angle first:
- 2θ 14.04, I 15
- 2θ 19.18, I 7
- 2θ 23.48, I 8
- 2θ 23.90, I 16
- 2θ 25.99, I 7
- 2θ 30.92, I 7
- 2θ 31.16, I 100
- 2θ 32.88, I 7
- 2θ 34.02, I 7
- 2θ 49.36, I 7

Atomic structure:
```
data_CuC32N8F16
_chemical_formula_sum 'Cu1 C32 N8 F16'
_space_group_name_H-M_alt 'P 1'
_space_group_IT_number 1
_space_group_name_Hall 'P 1'
_cell_length_a 4.6429
_cell_length_b 9.7970
_cell_length_c 14.1377
_cell_angle_alpha 74.51
_cell_angle_beta 85.11
_cell_angle_gamma 77.76
loop_
_atom_site_label
_atom_site_fract_x
_atom_site_fract_y
_atom_site_fract_z
_atom_site_occupancy
Cu1 0.0000 0.0000 0.0000 1
C1 0.1265 0.2401 0.8330 1
C2 0.1722 0.8941 0.2083 1
C3 0.2724 0.9718 0.6325 1
C4 0.2923 0.3548 0.8075 1
C5 0.3368 0.4532 0.7194 1
C6 0.3387 0.4577 0.1962 1
C7 0.3441 0.2323 0.9693 1
C8 0.3439 0.9034 0.7290 1
C9 0.3503 0.9220 0.2776 1
C10 0.3603 0.0860 0.1278 1
C11 0.3765 0.0965 0.5829 1
C12 0.3823 0.5563 0.1080 1
C13 0.4280 0.8506 0.3735 1
C14 0.4311 0.3498 0.8936 1
C15 0.4670 0.0436 0.2264 1
C16 0.4739 0.4543 0.2817 1
C17 0.5261 0.5457 0.7183 1
C18 0.5330 0.9564 0.7736 1
C19 0.5689 0.6502 0.1064 1
C20 0.5720 0.1494 0.6265 1
C21 0.6177 0.4437 0.8920 1
C22 0.6235 0.9035 0.4171 1
C23 0.6397 0.9140 0.8722 1
C24 0.6497 0.0780 0.7224 1
C25 0.6561 0.0966 0.2710 1
C26 0.6559 0.7677 0.0307 1
C27 0.6613 0.5423 0.8038 1
C28 0.6632 0.5468 0.2806 1
C29 0.7077 0.6452 0.1925 1
C30 0.7276 0.0282 0.3675 1
C31 0.8278 0.1059 0.7917 1
C32 0.8735 0.7599 0.1670 1
N1 0.0287 0.7863 0.2319 1
N2 0.1623 0.1693 0.9303 1
N3 0.1836 0.9943 0.1197 1
N4 0.4383 0.1952 0.0600 1
N5 0.5617 0.8048 0.9400 1
N6 0.8164 0.0057 0.8803 1
N7 0.8377 0.8307 0.0697 1
N8 0.9713 0.2137 0.7681 1
F1 0.0970 0.9187 0.5870 1
F2 0.1613 0.3641 0.2013 1
F3 0.2026 0.4638 0.6365 1
F4 0.2190 0.7913 0.7765 1
F5 0.2330 0.5603 0.0295 1
F6 0.2851 0.1641 0.4922 1
F7 0.3236 0.7339 0.4249 1
F8 0.4231 0.3578 0.3647 1
F9 0.5769 0.6422 0.6353 1
F10 0.6764 0.2661 0.5751 1
F11 0.7149 0.8359 0.5078 1
F12 0.7670 0.4397 0.9705 1
F13 0.7810 0.2087 0.2235 1
F14 0.7974 0.5362 0.3635 1
F15 0.8387 0.6359 0.7987 1
F16 0.9030 0.0813 0.4130 1
```



No. 9
Re6S: calculated powder XRD pattern (copper Kα), based on a cell relaxed with PBE.
Intensities are scaled so that the largest is 100.

Top 10 peaks for 10° ≤ 2θ ≤ 90°, low angle first:
- 2θ 27.30, I 52
- 2θ 33.60, I 100
- 2θ 43.82, I 63
- 2θ 48.25, I 15
- 2θ 56.33, I 8
- 2θ 60.08, I 62
- 2θ 67.21, I 16
- 2θ 70.63, I 12
- 2θ 80.52, I 20
- 2θ 86.95, I 18

Atomic structure:
```
data_Re6S
_chemical_formula_sum 'Re6 S1'
_space_group_name_H-M_alt 'P 1'
_space_group_IT_number 1
_space_group_name_Hall 'P 1'
_cell_length_a 5.6582
_cell_length_b 5.6582
_cell_length_c 5.6582
_cell_angle_alpha 109.47
_cell_angle_beta 109.47
_cell_angle_gamma 109.47
loop_
_atom_site_label
_atom_site_fract_x
_atom_site_fract_y
_atom_site_fract_z
_atom_site_occupancy
Re1 0.0000 0.3297 0.3297 1
Re2 0.0000 0.6703 0.6703 1
Re3 0.3297 0.0000 0.3297 1
Re4 0.3297 0.3297 0.0000 1
Re5 0.6703 0.0000 0.6703 1
Re6 0.6703 0.6703 0.0000 1
S1 0.0000 0.0000 0.0000 1
```



No. 10
GdBeNb: calculated powder XRD pattern (copper Kα), based on a cell relaxed with PBE.
Intensities are scaled so that the largest is 100.

Top 10 peaks for 10° ≤ 2θ ≤ 90°, low angle first:
- 2θ 24.66, I 11
- 2θ 28.55, I 100
- 2θ 40.82, I 84
- 2θ 48.27, I 6
- 2θ 50.57, I 27
- 2θ 59.10, I 14
- 2θ 65.02, I 2
- 2θ 66.92, I 35
- 2θ 74.31, I 28
- 2θ 88.44, I 9

Atomic structure:
```
data_GdBeNb
_chemical_formula_sum 'Gd1 Be1 Nb1'
_space_group_name_H-M_alt 'P 1'
_space_group_IT_number 1
_space_group_name_Hall 'P 1'
_cell_length_a 4.4214
_cell_length_b 4.4214
_cell_length_c 4.4214
_cell_angle_alpha 60.00
_cell_angle_beta 60.00
_cell_angle_gamma 60.00
loop_
_atom_site_label
_atom_site_fract_x
_atom_site_fract_y
_atom_site_fract_z
_atom_site_occupancy
Gd1 0.0000 0.0000 0.0000 1
Be1 0.2500 0.2500 0.2500 1
Nb1 0.5000 0.5000 0.5000 1
```



No. 11
HfZr2Ni2As4Pd2: calculated powder XRD pattern (copper Kα), based on a cell relaxed with PBE.
Intensities are scaled so that the largest is 100.

Top 10 peaks for 10° ≤ 2θ ≤ 90°, low angle first:
- 2θ 13.58, I 28
- 2θ 17.98, I 38
- 2θ 35.94, I 78
- 2θ 36.01, I 50
- 2θ 37.96, I 100
- 2θ 42.88, I 49
- 2θ 43.38, I 24
- 2θ 45.12, I 27
- 2θ 46.80, I 48
- 2θ 48.23, I 26

Atomic structure:
```
data_HfZr2Ni2As4Pd2
_chemical_formula_sum 'Hf1 Zr2 Ni2 As4 Pd2'
_space_group_name_H-M_alt 'P 1'
_space_group_IT_number 1
_space_group_name_Hall 'P 1'
_cell_length_a 6.5223
_cell_length_b 3.8827
_cell_length_c 7.5362
_cell_angle_alpha 90.00
_cell_angle_beta 90.31
_cell_angle_gamma 90.00
loop_
_atom_site_label
_atom_site_fract_x
_atom_site_fract_y
_atom_site_fract_z
_atom_site_occupancy
Hf1 0.0000 0.0000 0.0000 1
Zr1 0.0696 0.5000 0.6295 1
Zr2 0.5672 0.5000 0.4873 1
Ni1 0.6908 0.5000 0.8689 1
Ni2 0.8936 0.0000 0.3708 1
As1 0.2821 0.0000 0.4303 1
As2 0.3017 0.5000 0.9459 1
As3 0.7586 0.5000 0.1797 1
As4 0.7807 0.0000 0.6855 1
Pd1 0.1521 0.5000 0.2491 1
Pd2 0.3962 0.0000 0.7598 1
```



No. 12
PmScP2: calculated powder XRD pattern (copper Kα), based on a cell relaxed with PBE.
Intensities are scaled so that the largest is 100.

Top 10 peaks for 10° ≤ 2θ ≤ 90°, low angle first:
- 2θ 15.83, I 28
- 2θ 22.39, I 25
- 2θ 27.54, I 50
- 2θ 31.90, I 100
- 2θ 35.77, I 16
- 2θ 45.74, I 71
- 2θ 54.18, I 16
- 2θ 56.85, I 24
- 2θ 75.77, I 21
- 2θ 84.57, I 16

Atomic structure:
```
data_PmScP2
_chemical_formula_sum 'Pm1 Sc1 P2'
_space_group_name_H-M_alt 'P 1'
_space_group_IT_number 1
_space_group_name_Hall 'P 1'
_cell_length_a 3.9712
_cell_length_b 3.9712
_cell_length_c 5.6001
_cell_angle_alpha 90.00
_cell_angle_beta 90.00
_cell_angle_gamma 90.00
loop_
_atom_site_label
_atom_site_fract_x
_atom_site_fract_y
_atom_site_fract_z
_atom_site_occupancy
Pm1 0.0000 0.0000 0.0000 1
Sc1 0.5000 0.5000 0.5000 1
P1 0.0000 0.0000 0.5000 1
P2 0.5000 0.5000 0.0000 1
```



No. 13
K2WSeS2: calculated powder XRD pattern (copper Kα), based on a cell relaxed with PBE.
Intensities are scaled so that the largest is 100.

Top 10 peaks for 10° ≤ 2θ ≤ 90°, low angle first:
- 2θ 11.18, I 21
- 2θ 13.18, I 30
- 2θ 14.60, I 13
- 2θ 16.12, I 100
- 2θ 18.64, I 15
- 2θ 26.50, I 41
- 2θ 27.12, I 11
- 2θ 27.95, I 12
- 2θ 32.06, I 13
- 2θ 33.62, I 15

Atomic structure:
```
data_K2WSeS2
_chemical_formula_sum 'K4 W2 Se2 S4'
_space_group_name_H-M_alt 'P 1'
_space_group_IT_number 1
_space_group_name_Hall 'P 1'
_cell_length_a 6.7711
_cell_length_b 7.3694
_cell_length_c 8.4568
_cell_angle_alpha 74.80
_cell_angle_beta 71.51
_cell_angle_gamma 67.48
loop_
_atom_site_label
_atom_site_fract_x
_atom_site_fract_y
_atom_site_fract_z
_atom_site_occupancy
K1 0.1072 0.1894 0.1246 1
K2 0.3597 0.5544 0.2950 1
K3 0.6403 0.4456 0.7050 1
K4 0.8928 0.8106 0.8754 1
W1 0.3713 0.0502 0.6632 1
W2 0.6287 0.9498 0.3368 1
Se1 0.1587 0.3850 0.7162 1
Se2 0.8413 0.6150 0.2838 1
S1 0.2740 0.9546 0.4700 1
S2 0.3653 0.8300 0.9054 1
S3 0.6347 0.1700 0.0946 1
S4 0.7260 0.0454 0.5300 1
```